[1]
Structure and computed X-ray powder pattern of ThMg2ZnAu2 (DFT lattice parameters and positions (GGA-PBE); Cu Kα).
Kinematic intensities with the Lorentz-polarization factor, no thermal factor.

Crystal structure
Lattice parameters (Å, degrees): 8.7521 8.7521 8.7521 151.86 151.86 40.22
Positions (direct):
Th: 0.0000 0.0000 0.0000
Mg: 0.2500 0.7500 0.5000
Mg: 0.7500 0.2500 0.5000
Zn: 0.5000 0.5000 0.0000
Au: 0.3505 0.3505 0.0000
Au: 0.6495 0.6495 0.0000

Peak list (10 most intense, 2θ from 5° to 70°, by angle)
2θ/deg	intensity
26.5	100
29.7	56
31.7	12
32.7	17
42.5	29
44.7	40
50.8	35
54.6	23
62.9	11
69.9	10

=====

[2]
Structure and computed X-ray powder pattern of MgTl2Au (DFT lattice parameters and positions (GGA-PBE); Cu Kα).
Kinematic intensities with the Lorentz-polarization factor, no thermal factor.

Crystal structure
Lattice parameters (Å, degrees): 7.5388 7.5388 4.2689 105.81 105.81 26.92
Positions (direct):
Mg: 0.0000 0.0000 0.0000
Tl: 0.1838 0.1838 0.6846
Tl: 0.8162 0.8162 0.3154
Au: 0.5000 0.5000 0.5000

Peak list (10 most intense, 2θ from 5° to 70°, by angle)
2θ/deg	intensity
21.7	46
21.8	47
31.8	100
35.4	61
35.6	60
38.1	28
38.4	30
38.5	27
42.3	30
53.8	24